Calculated powder diffractogram of Te2HIrN for Cu Kα, from a crystal structure in Alexandria, relaxed with GGA-PBE.

Structural model:
```
5
Lattice="5.580 0.000 0.000 0.000 5.580 0.000 0.000 0.000 3.615" Properties=species:S:1:pos:R:3 pbc="T T T"
Te 0.000 2.790 0.000
Te 2.790 0.000 0.000
H 0.000 0.000 1.808
Ir 2.790 2.790 0.000
N 2.790 2.790 1.808
```

Main lines, by intensity (2θ from 10° to 90°):
2θ/deg	d [Å]	intensity	index
15.88	5.580	100	1 0 0
32.08	2.790	92	2 0 0
40.86	2.209	83	2 0 1
24.63	3.615	78	0 0 1
52.87	1.732	40	2 2 1
29.44	3.034	35	1 0 1
46.01	1.973	34	2 2 0
61.09	1.517	29	2 0 2